Diffraction record for Cd3Ag8. The powder X-ray diffraction pattern is simulated, not measured: it uses a cell relaxed with GGA-PBE and Cu Kα X-rays.

Top 10 peaks for 10° ≤ 2θ ≤ 90°, most intense first:
two_theta, I_rel, index
37.0, 100, 1 1 3
37.1, 99, 3 1 -2
42.2, 34, 2 0 -5
43.3, 32, 0 2 0
43.5, 31, 4 0 1
62.0, 31, 2 2 -5
75.2, 23, 1 3 3
63.1, 19, 4 2 1
73.6, 12, 1 1 -8
73.8, 12, 5 1 -7

Crystal structure
Cell: 9.3369 4.1830 10.9212 Å, 90.00 106.10 90.00°
Space group C2/m (No. 12)
Asymmetric unit:
Cd 0.0000 0.0000 0.0000 (multiplicity 2)
Cd 0.0941 0.0000 0.6396 (multiplicity 4)
Ag 0.0453 0.5000 0.8182 (multiplicity 4)
Ag 0.1364 0.5000 0.4539 (multiplicity 4)
Ag 0.1813 0.0000 0.2719 (multiplicity 4)
Ag 0.2267 0.5000 0.0897 (multiplicity 4)